This entry pairs a crystal structure of Zr3Zn2IrRh3 with its theoretical X-ray diffraction stick pattern. Radiation: a wavelength of 1.5418 Å. Structure: a crystal structure in Alexandria, relaxed with GGA-PBE.
Intensities are scaled so that the largest is 100.

Top 10 peaks for 10° ≤ 2θ ≤ 90°, in order of rising 2θ:
- 13.35°, I = 31.9, (1 0 0)
- 26.89°, I = 19.2, (2 0 0)
- 35.82°, I = 33.6, (2 1 0)
- 37.99°, I = 92.5, (1 1 1)
- 40.44°, I = 83.5, (2 0 1)
- 40.82°, I = 100.0, (3 0 0)
- 47.15°, I = 40.7, (2 1 1)
- 69.16°, I = 44.7, (3 2 1)
- 76.48°, I = 30.3, (3 0 2)
- 78.84°, I = 20.8, (5 0 1)

Atomic structure:
Unit cell a=7.6578 b=7.6578 c=3.0150 alpha=90.00 beta=90.00 gamma=120.00
Positions (direct):
1 Zr 0.0000 0.7130 0.0000
2 Zr 0.2870 0.2870 0.0000
3 Zr 0.7130 0.0000 0.0000
4 Zn 0.3333 0.6667 0.0000
5 Zn 0.6667 0.3333 0.0000
6 Ir 0.0000 0.0000 0.5000
7 Rh 0.0000 0.3900 0.5000
8 Rh 0.3900 0.0000 0.5000
9 Rh 0.6100 0.6100 0.5000